# Sm2Mn2O5
Calculated X-ray powder pattern, Cu Kα X-rays. Input: a GGA+U-relaxed structure.

Crystal structure
```
Sm2Mn2O5
1.0
-7.668 2.915 2.859
7.668 -2.915 2.859
7.668 2.915 -2.859
Sm Mn O
4 4 10
Cartesian
1.740 0.079 0.000 Sm
5.928 0.079 0.000 Sm
1.740 2.836 2.859 Sm
5.928 2.836 2.859 Sm
3.834 -0.233 2.950 Mn
0.000 0.000 2.740 Mn
7.668 0.000 2.740 Mn
3.834 3.147 0.091 Mn
11.501 0.671 -0.653 O
2.177 2.228 -0.641 O
5.491 2.228 -0.641 O
2.177 0.686 2.218 O
5.491 0.686 2.218 O
-0.511 1.552 1.387 O
8.178 1.552 1.387 O
-3.834 2.244 2.207 O
0.511 4.277 1.387 O
-0.511 1.362 4.246 O
```

Top 8 peaks for 2θ from 10° to 90°, in order of rising 2θ:
4.082 Å, 21.8 deg, intensity 29
2.915 Å, 30.7 deg, intensity 28
2.859 Å, 31.3 deg, intensity 29
2.795 Å, 32.0 deg, intensity 100
2.041 Å, 44.4 deg, intensity 27
1.659 Å, 55.4 deg, intensity 23
1.638 Å, 56.2 deg, intensity 24
1.283 Å, 73.9 deg, intensity 12